# 1
# NbV3Si2
Calculated powder XRD pattern, Cu Kα (λ = 1.5418 Å). Input: a DFT-relaxed cell (PBE, Alexandria).

Main lines, by angle (10° ≤ 2θ ≤ 90°):
2θ (°)	d (Å)	I/Imax
24.88	3.579	28
30.47	2.934	14
32.47	2.757	15
35.13	2.555	38
37.42	2.403	20
39.77	2.267	100
42.35	2.134	95
43.33	2.088	32
44.75	2.025	51
58.13	1.587	16
60.84	1.523	17
78.62	1.217	15

Atomic structure:
Unit cell a=6.7147 b=6.7147 c=7.7044 alpha=117.87 beta=117.87 gamma=35.11
Element x y z (fractional)
Nb (0.1405, 0.1405, 0.0588)
Nb (0.8595, 0.8595, 0.9412)
V (0.0419, 0.0419, 0.3654)
V (0.3084, 0.3084, 0.5072)
V (0.4164, 0.4164, 0.3239)
V (0.5836, 0.5836, 0.6761)
V (0.6916, 0.6916, 0.4928)
V (0.9581, 0.9581, 0.6346)
Si (0.2009, 0.2009, 0.7308)
Si (0.4706, 0.4706, 0.8388)
Si (0.5294, 0.5294, 0.1612)
Si (0.7991, 0.7991, 0.2692)


# 2
# Sb2MoPt
Calculated powder XRD pattern, Cu Kα (λ = 1.5418 Å). Input: a DFT-relaxed cell (PBE, Alexandria).

Main lines, by angle (10° ≤ 2θ ≤ 90°):
2θ (°)	d (Å)	I/Imax
31.83	2.811	21
33.86	2.647	100
40.11	2.248	83
47.16	1.927	29
48.64	1.872	36
59.31	1.558	14
64.81	1.439	40
71.23	1.324	12
71.73	1.316	20
81.25	1.184	16
85.04	1.141	10
89.90	1.091	10

Atomic structure:
Unit cell a=3.7441 b=3.7441 c=5.6221 alpha=90.00 beta=90.00 gamma=90.00
Element x y z (fractional)
Sb (0.0000, 0.0000, 0.0000)
Sb (0.5000, 0.5000, 0.3554)
Mo (0.0000, 0.0000, 0.5146)
Pt (0.5000, 0.5000, 0.8573)


# 3
# Hf6SeN2
Calculated powder XRD pattern, Cu Kα (λ = 1.5418 Å). Input: a DFT-relaxed cell (PBE, Alexandria).

Main lines, by angle (10° ≤ 2θ ≤ 90°):
2θ (°)	d (Å)	I/Imax
32.81	2.730	9
34.41	2.606	100
35.07	2.559	25
38.27	2.352	15
42.20	2.141	19
48.78	1.867	12
56.00	1.642	8
59.90	1.544	11
62.49	1.486	18
64.78	1.439	16
71.34	1.322	20
76.90	1.240	10

Atomic structure:
Unit cell a=8.1333 b=8.1333 c=8.1333 alpha=95.68 beta=95.68 gamma=143.33
Element x y z (fractional)
Hf (0.0978, 0.7981, 0.8959)
Hf (0.1043, 0.3957, 0.5000)
Hf (0.2019, 0.0978, 0.2997)
Hf (0.2981, 0.5978, 0.8959)
Hf (0.3957, 0.8957, 0.2913)
Hf (0.4022, 0.2981, 0.7003)
Hf (0.5978, 0.7019, 0.2997)
Hf (0.6043, 0.1043, 0.7087)
Hf (0.7019, 0.4022, 0.1041)
Hf (0.7981, 0.9022, 0.7003)
Hf (0.8957, 0.6043, 0.5000)
Hf (0.9022, 0.2019, 0.1041)
Se (0.2500, 0.2500, 0.0000)
Se (0.7500, 0.7500, 0.0000)
N (0.0983, 0.5983, 0.6965)
N (0.4017, 0.0983, 0.5000)
N (0.5983, 0.9017, 0.5000)
N (0.9017, 0.4017, 0.3035)


# 4
# TlZn3
Calculated powder XRD pattern, Cu Kα (λ = 1.5418 Å). Input: a DFT-relaxed cell (PBE, Alexandria).

Main lines, by angle (10° ≤ 2θ ≤ 90°):
2θ (°)	d (Å)	I/Imax
21.25	4.181	18
23.03	3.861	27
28.66	3.115	21
29.83	2.995	15
30.53	2.928	17
32.61	2.746	55
35.16	2.552	100
40.82	2.210	26
41.39	2.182	21
43.28	2.091	30
43.58	2.077	62
53.46	1.714	20

Atomic structure:
Unit cell a=4.5674 b=4.5674 c=6.1488 alpha=102.23 beta=102.23 gamma=40.02
Element x y z (fractional)
Tl (0.0000, 0.0000, 0.0000)
Zn (0.2413, 0.2413, 0.6836)
Zn (0.5000, 0.5000, 0.5000)
Zn (0.7587, 0.7587, 0.3164)


# 5
# Ga7CuAg4
Calculated powder XRD pattern, Cu Kα (λ = 1.5418 Å). Input: a DFT-relaxed cell (PBE, Alexandria).

Main lines, by angle (10° ≤ 2θ ≤ 90°):
2θ (°)	d (Å)	I/Imax
17.32	5.120	2
33.85	2.648	2
36.56	2.458	100
42.36	2.134	19
44.26	2.047	55
60.21	1.537	22
64.90	1.437	2
68.40	1.371	12
72.53	1.303	12
76.37	1.247	19
77.70	1.229	10
83.86	1.154	6

Atomic structure:
Unit cell a=3.0740 b=3.0740 c=25.6021 alpha=90.00 beta=90.00 gamma=120.00
Element x y z (fractional)
Ga (0.0000, 0.0000, 0.0000)
Ga (0.0000, 0.0000, 0.2531)
Ga (0.0000, 0.0000, 0.7469)
Ga (0.3333, 0.6667, 0.1712)
Ga (0.3333, 0.6667, 0.4254)
Ga (0.6667, 0.3333, 0.5746)
Ga (0.6667, 0.3333, 0.8288)
Cu (0.0000, 0.0000, 0.5000)
Ag (0.3333, 0.6667, 0.6615)
Ag (0.3333, 0.6667, 0.9141)
Ag (0.6667, 0.3333, 0.0859)
Ag (0.6667, 0.3333, 0.3385)


# 6
# Sr3ErS4
Calculated powder XRD pattern, Cu Kα (λ = 1.5418 Å). Input: a DFT-relaxed cell (PBE, Alexandria).

Main lines, by angle (10° ≤ 2θ ≤ 90°):
2θ (°)	d (Å)	I/Imax
12.99	6.815	12
26.15	3.407	27
26.33	3.385	26
30.39	2.941	100
43.28	2.090	12
43.52	2.080	48
43.74	2.070	12
51.37	1.779	9
53.81	1.704	12
54.19	1.692	12
63.23	1.471	11
71.77	1.315	21

Atomic structure:
Unit cell a=7.2157 b=7.2157 c=4.1393 alpha=90.00 beta=90.00 gamma=109.19
Element x y z (fractional)
Sr (0.0000, 0.0000, 0.0000)
Sr (0.0000, 0.5000, 0.5000)
Sr (0.5000, 0.0000, 0.5000)
Er (0.5000, 0.5000, 0.0000)
S (0.2616, 0.7384, 0.0000)
S (0.2695, 0.2695, 0.5000)
S (0.7305, 0.7305, 0.5000)
S (0.7384, 0.2616, 0.0000)


# 7
# LiMgRu2
Calculated powder XRD pattern, Cu Kα (λ = 1.5418 Å). Input: a DFT-relaxed cell (PBE, Alexandria).

Main lines, by angle (10° ≤ 2θ ≤ 90°):
2θ (°)	d (Å)	I/Imax
12.52	7.068	100
33.38	2.684	24
40.21	2.243	64
44.14	2.052	25
46.06	1.970	15
49.86	1.829	16
51.74	1.767	7
64.19	1.451	8
70.31	1.339	11
78.52	1.218	17
85.41	1.137	7
86.87	1.121	6

Atomic structure:
Unit cell a=2.9018 b=2.9018 c=7.0676 alpha=90.00 beta=90.00 gamma=90.00
Element x y z (fractional)
Li (0.0000, 0.0000, 0.0000)
Mg (0.5000, 0.5000, 0.2807)
Ru (0.0000, 0.0000, 0.5449)
Ru (0.5000, 0.5000, 0.7663)


# 8
# Ce9ThIn2
Calculated powder XRD pattern, Cu Kα (λ = 1.5418 Å). Input: a DFT-relaxed cell (PBE, Alexandria).

Main lines, by angle (10° ≤ 2θ ≤ 90°):
2θ (°)	d (Å)	I/Imax
32.18	2.781	100
37.14	2.421	17
37.43	2.403	33
53.75	1.705	23
53.97	1.699	12
63.85	1.458	14
64.25	1.450	27
67.33	1.391	12
79.11	1.211	2
79.85	1.201	4
88.34	1.106	12
88.70	1.103	6

Atomic structure:
Unit cell a=4.8050 b=4.8050 c=14.5262 alpha=90.00 beta=90.00 gamma=90.00
Element x y z (fractional)
Ce (0.0000, 0.0000, 0.0000)
Ce (0.0000, 0.0000, 0.3351)
Ce (0.0000, 0.0000, 0.6649)
Ce (0.0000, 0.5000, 0.1678)
Ce (0.0000, 0.5000, 0.5000)
Ce (0.0000, 0.5000, 0.8322)
Ce (0.5000, 0.0000, 0.1678)
Ce (0.5000, 0.0000, 0.5000)
Ce (0.5000, 0.0000, 0.8322)
Th (0.5000, 0.5000, 0.0000)
In (0.5000, 0.5000, 0.3339)
In (0.5000, 0.5000, 0.6661)